Entry 1:
This entry pairs a crystal structure of Sr4Zn2Cu5 with its simulated XRD peak list. Radiation: Cu Kα. Structure: a crystal structure in Alexandria, relaxed with PBE.

Top 6 peaks for 10° ≤ 2θ ≤ 80°, by angle:
| 2theta | d [Å] | intensity |
| --- | --- | --- |
| 31.6 | 2.833 | 100 |
| 31.9 | 2.807 | 90 |
| 32.3 | 2.776 | 75 |
| 39.0 | 2.307 | 54 |
| 43.6 | 2.074 | 34 |
| 60.0 | 1.542 | 26 |

Structural model:
Cell: 7.0768 4.6145 8.1537 Å, 90.00 92.14 90.00°
Space group P2/m (No. 10)
Inequivalent atoms, fractional coordinates:
Sr (0.2377, 0.0000, 0.3675) (multiplicity 2)
Sr (0.2585, 0.0000, 0.8716) (multiplicity 2)
Zn (0.4192, 0.5000, 0.6360) (multiplicity 2)
Cu (0.0000, 0.5000, 0.0000) (multiplicity 1)
Cu (0.0679, 0.5000, 0.6463) (multiplicity 2)
Cu (0.3731, 0.5000, 0.1081) (multiplicity 2)

=====

Entry 2:
This entry pairs a crystal structure of SrZn6Cu3 with its simulated XRD peak list. Radiation: Cu Kα. Structure: a crystal structure in Alexandria, relaxed with PBE.

Top 6 peaks for 10° ≤ 2θ ≤ 80°, by angle:
| 2theta | d [Å] | intensity |
| --- | --- | --- |
| 31.0 | 2.885 | 62 |
| 39.2 | 2.298 | 100 |
| 40.4 | 2.232 | 74 |
| 40.7 | 2.216 | 67 |
| 42.6 | 2.122 | 65 |
| 44.1 | 2.054 | 58 |

Structural model:
Cell: 6.6987 6.6430 8.5983 Å, 90.00 119.57 90.00°
Space group P2_1/c (No. 14)
Inequivalent atoms, fractional coordinates:
Sr (0.0000, 0.0000, 0.0000) (multiplicity 2)
Zn (0.1345, 0.0174, 0.6775) (multiplicity 4)
Zn (0.2807, 0.1640, 0.4334) (multiplicity 4)
Zn (0.4864, 0.7241, 0.2320) (multiplicity 4)
Cu (0.2499, 0.6982, 0.8877) (multiplicity 4)
Cu (0.5000, 0.0000, 0.0000) (multiplicity 2)

=====

Number 1 is which compound?
Sr4Zn2Cu5

=====

What is the formula in the first record?
Sr4Zn2Cu5

=====

Please write out number 1 again, unchanged.
This entry pairs a crystal structure of Sr4Zn2Cu5 with its simulated XRD peak list. Radiation: Cu Kα. Structure: a crystal structure in Alexandria, relaxed with PBE.

Top 6 peaks for 10° ≤ 2θ ≤ 80°, by angle:
| 2theta | d [Å] | intensity |
| --- | --- | --- |
| 31.6 | 2.833 | 100 |
| 31.9 | 2.807 | 90 |
| 32.3 | 2.776 | 75 |
| 39.0 | 2.307 | 54 |
| 43.6 | 2.074 | 34 |
| 60.0 | 1.542 | 26 |

Structural model:
Cell: 7.0768 4.6145 8.1537 Å, 90.00 92.14 90.00°
Space group P2/m (No. 10)
Inequivalent atoms, fractional coordinates:
Sr (0.2377, 0.0000, 0.3675) (multiplicity 2)
Sr (0.2585, 0.0000, 0.8716) (multiplicity 2)
Zn (0.4192, 0.5000, 0.6360) (multiplicity 2)
Cu (0.0000, 0.5000, 0.0000) (multiplicity 1)
Cu (0.0679, 0.5000, 0.6463) (multiplicity 2)
Cu (0.3731, 0.5000, 0.1081) (multiplicity 2)